This entry pairs a crystal structure of CaMn7O8 with its calculated X-ray powder pattern. Radiation: copper Kα. Structure: the PBE+U geometry in Alexandria.

a = 11.153 Å, b = 6.443 Å, c = 5.573 Å
α = 90.00°, β = 109.47°, γ = 90.00°
Space group C2/m (No. 12)
Unique sites:
Ca: 0.000 0.000 0.000 x2
Mn: 0.000 0.253 0.500 x4
Mn: 0.000 0.500 0.000 x2
Mn: 0.249 0.500 0.498 x4
Mn: 0.250 0.250 0.000 x4
O: 0.125 0.500 0.753 x4
O: 0.127 0.000 0.742 x4
O: 0.127 0.257 0.255 x8

Largest 6 diffraction maxima, most intense first, 5° ≤ 2θ ≤ 70°:
| d [Å] | Rel. int. |
| --- | --- |
| 2.277 | 100 |
| 2.629 | 59 |
| 1.610 | 58 |
| 1.373 | 23 |
| 5.494 | 1 |
| 5.256 | 1 |